No. 1
For SrZnAg3, a cell relaxed with GGA-PBE gives the computed powder XRD pattern in this record (λ = 1.5418 Å (Cu Kα)).

Atomic structure:
```
SrZnAg3
1.0
9.319 0.000 0.000
0.000 4.592 0.000
0.000 0.000 10.604
Sr Zn Ag
4 4 12
direct
0.188 0.250 0.001
0.312 0.750 0.501
0.688 0.250 0.499
0.812 0.750 0.999
0.111 0.250 0.645
0.389 0.750 0.145
0.611 0.250 0.855
0.889 0.750 0.355
0.061 0.250 0.400
0.121 0.750 0.220
0.156 0.750 0.785
0.344 0.250 0.285
0.379 0.250 0.720
0.439 0.750 0.900
0.561 0.250 0.100
0.621 0.750 0.280
0.656 0.750 0.715
0.844 0.250 0.215
0.879 0.250 0.780
0.939 0.750 0.600
```

The 6 most intense peaks (2θ from 5° to 70°), by angle:
| 2θ/deg | d (Å) | I_rel |
| --- | --- | --- |
| 32.16 | 2.784 | 100 |
| 33.41 | 2.682 | 71 |
| 35.92 | 2.500 | 33 |
| 39.24 | 2.296 | 50 |
| 43.78 | 2.068 | 21 |
| 43.97 | 2.059 | 26 |

---

No. 2
For Cs3Tl2Br9, a cell relaxed with GGA-PBE gives the computed powder XRD pattern in this record (λ = 1.5418 Å (Cu Kα)).

Atomic structure:
```
Cs3Tl2Br9
1.0
9.957 0.000 0.000
0.000 8.085 0.000
-0.760 0.000 14.403
Cs Tl Br
6 4 18
direct
0.030 0.000 0.226
0.325 0.001 0.922
0.366 0.495 0.380
0.634 0.995 0.620
0.675 0.501 0.078
0.970 0.500 0.774
0.198 0.003 0.572
0.198 0.516 0.086
0.802 0.016 0.914
0.802 0.503 0.428
0.000 0.228 0.994
0.000 0.728 0.006
0.035 0.484 0.233
0.042 0.511 0.508
0.290 0.255 0.671
0.292 0.750 0.669
0.308 0.500 0.918
0.350 0.003 0.424
0.350 0.255 0.153
0.356 0.761 0.162
0.644 0.261 0.838
0.650 0.503 0.576
0.650 0.755 0.847
0.692 0.000 0.082
0.708 0.250 0.331
0.710 0.755 0.329
0.958 0.011 0.492
0.965 0.984 0.767
```

The 6 most intense peaks (2θ from 5° to 70°), by angle:
| 2θ/deg | d (Å) | I_rel |
| --- | --- | --- |
| 15.22 | 5.823 | 29 |
| 21.56 | 4.121 | 63 |
| 21.99 | 4.043 | 35 |
| 29.86 | 2.992 | 50 |
| 31.49 | 2.841 | 100 |
| 43.88 | 2.063 | 35 |

---

No. 3
For TaNb4Os, a cell relaxed with GGA-PBE gives the computed powder XRD pattern in this record (λ = 1.5418 Å (Cu Kα)).

Atomic structure:
```
TaNb4Os
1.0
6.351 0.000 0.000
0.000 4.577 0.000
0.000 0.000 7.470
Ta Nb Os
2 8 2
direct
0.250 0.000 0.130
0.750 0.000 0.870
0.000 0.000 0.500
0.016 0.500 0.821
0.250 0.500 0.481
0.484 0.500 0.821
0.500 0.000 0.500
0.516 0.500 0.179
0.750 0.500 0.519
0.984 0.500 0.179
0.250 0.000 0.780
0.750 0.000 0.220
```

The 6 most intense peaks (2θ from 5° to 70°), by angle:
| 2θ/deg | d (Å) | I_rel |
| --- | --- | --- |
| 34.37 | 2.609 | 42 |
| 36.07 | 2.490 | 52 |
| 36.48 | 2.463 | 100 |
| 39.37 | 2.289 | 61 |
| 42.25 | 2.139 | 87 |
| 54.45 | 1.685 | 32 |

---

No. 4
For CsKPuBr4, a cell relaxed with GGA-PBE gives the computed powder XRD pattern in this record (λ = 1.5418 Å (Cu Kα)).

Atomic structure:
```
CsKPuBr4
1.0
-2.917 2.917 8.824
2.917 -2.917 8.824
2.917 2.917 -8.824
Cs K Pu Br
1 1 1 4
direct
0.000 0.000 0.000
0.721 0.721 0.000
0.363 0.363 0.000
0.196 0.196 0.000
0.356 0.856 0.500
0.533 0.533 0.000
0.856 0.356 0.500
```

The 6 most intense peaks (2θ from 5° to 70°), by angle:
| 2θ/deg | d (Å) | I_rel |
| --- | --- | --- |
| 10.02 | 8.824 | 87 |
| 16.00 | 5.539 | 67 |
| 21.51 | 4.132 | 100 |
| 29.59 | 3.019 | 64 |
| 30.65 | 2.917 | 86 |
| 43.71 | 2.071 | 50 |

---

No. 5
For Tb2Th3, a cell relaxed with GGA-PBE gives the computed powder XRD pattern in this record (λ = 1.5418 Å (Cu Kα)).

Atomic structure:
```
Tb2Th3
1.0
3.318 -11.172 0.000
3.318 11.172 0.000
-2.899 0.000 4.788
Tb Th
4 6
direct
0.000 0.500 0.000
0.128 0.872 0.000
0.500 0.000 0.000
0.872 0.128 0.000
0.205 0.431 0.651
0.286 0.286 0.102
0.431 0.205 0.651
0.569 0.795 0.349
0.714 0.714 0.898
0.795 0.569 0.349
```

The 6 most intense peaks (2θ from 5° to 70°), by angle:
| 2θ/deg | d (Å) | I_rel |
| --- | --- | --- |
| 24.49 | 3.636 | 33 |
| 31.46 | 2.844 | 100 |
| 32.05 | 2.793 | 38 |
| 32.41 | 2.762 | 61 |
| 36.26 | 2.477 | 34 |
| 56.71 | 1.623 | 22 |

---

No. 6
For Zr2TeP, a cell relaxed with GGA-PBE gives the computed powder XRD pattern in this record (λ = 1.5418 Å (Cu Kα)).

Atomic structure:
```
Zr2TeP
1.0
1.916 1.106 6.814
-1.916 1.106 6.814
0.000 -2.212 6.814
Zr Te P
2 1 1
direct
0.000 0.000 0.000
0.201 0.201 0.201
0.432 0.432 0.432
0.601 0.601 0.601
```

The 6 most intense peaks (2θ from 5° to 70°), by angle:
| 2θ/deg | d (Å) | I_rel |
| --- | --- | --- |
| 27.23 | 3.275 | 32 |
| 28.28 | 3.156 | 22 |
| 32.16 | 2.783 | 60 |
| 34.82 | 2.576 | 100 |
| 47.46 | 1.916 | 52 |
| 63.53 | 1.464 | 23 |

---

No. 7
For Rb2NaSbF6, a cell relaxed with GGA-PBE gives the computed powder XRD pattern in this record (λ = 1.5418 Å (Cu Kα)).

Atomic structure:
```
Rb2NaSbF6
1.0
0.000 4.521 4.521
4.521 0.000 4.521
4.521 4.521 0.000
Rb Na Sb F
2 1 1 6
direct
0.250 0.250 0.250
0.750 0.750 0.750
0.000 0.000 0.000
0.500 0.500 0.500
0.256 0.256 0.744
0.256 0.744 0.256
0.256 0.744 0.744
0.744 0.256 0.256
0.744 0.256 0.744
0.744 0.744 0.256
```

The 6 most intense peaks (2θ from 5° to 70°), by angle:
| 2θ/deg | d (Å) | I_rel |
| --- | --- | --- |
| 16.98 | 5.220 | 29 |
| 27.91 | 3.197 | 100 |
| 39.88 | 2.260 | 46 |
| 49.38 | 1.846 | 41 |
| 57.67 | 1.598 | 28 |
| 65.26 | 1.430 | 18 |

---

No. 8
For V6GaSi, a cell relaxed with GGA-PBE gives the computed powder XRD pattern in this record (λ = 1.5418 Å (Cu Kα)).

Atomic structure:
```
V6GaSi
1.0
4.741 0.000 0.000
0.000 4.741 0.000
0.000 0.000 4.741
V Ga Si
6 1 1
direct
0.000 0.257 0.500
0.000 0.743 0.500
0.257 0.500 0.000
0.500 0.000 0.257
0.500 0.000 0.743
0.743 0.500 0.000
0.000 0.000 0.000
0.500 0.500 0.500
```

The 6 most intense peaks (2θ from 5° to 70°), by angle:
| 2θ/deg | d (Å) | I_rel |
| --- | --- | --- |
| 18.72 | 4.741 | 7 |
| 32.71 | 2.737 | 6 |
| 37.95 | 2.371 | 35 |
| 42.64 | 2.120 | 100 |
| 46.94 | 1.936 | 74 |
| 68.56 | 1.369 | 6 |

---

No. 9
For U4S6Cl, a cell relaxed with GGA-PBE gives the computed powder XRD pattern in this record (λ = 1.5418 Å (Cu Kα)).

Atomic structure:
```
U4S6Cl
1.0
8.455 0.000 0.000
-4.227 7.322 0.000
0.000 0.000 3.730
U S Cl
4 6 1
direct
0.000 0.000 0.000
0.025 0.512 0.500
0.488 0.512 0.500
0.488 0.975 0.500
0.208 0.417 0.000
0.208 0.792 0.000
0.278 0.139 0.500
0.583 0.792 0.000
0.861 0.139 0.500
0.861 0.722 0.500
0.667 0.333 0.000
```

The 6 most intense peaks (2θ from 5° to 70°), by angle:
| 2θ/deg | d (Å) | I_rel |
| --- | --- | --- |
| 24.31 | 3.661 | 100 |
| 26.82 | 3.324 | 39 |
| 32.00 | 2.797 | 40 |
| 34.32 | 2.613 | 32 |
| 40.59 | 2.223 | 49 |
| 42.78 | 2.114 | 37 |

---

No. 10
For ZnFe2Ir7, a cell relaxed with GGA-PBE gives the computed powder XRD pattern in this record (λ = 1.5418 Å (Cu Kα)).

Atomic structure:
```
ZnFe2Ir7
1.0
7.068 0.000 0.000
0.000 2.709 0.000
-2.444 0.000 8.130
Zn Fe Ir
1 2 7
direct
0.000 0.000 0.000
0.171 0.500 0.485
0.829 0.500 0.515
0.119 0.500 0.773
0.256 0.500 0.230
0.418 0.000 0.715
0.500 0.500 0.000
0.582 0.000 0.285
0.744 0.500 0.770
0.881 0.500 0.227
```

The 6 most intense peaks (2θ from 5° to 70°), by angle:
| 2θ/deg | d (Å) | I_rel |
| --- | --- | --- |
| 21.86 | 4.065 | 93 |
| 38.20 | 2.356 | 54 |
| 38.59 | 2.333 | 40 |
| 40.09 | 2.249 | 58 |
| 44.61 | 2.031 | 100 |
| 46.26 | 1.962 | 44 |

---

No. 11
For Li3Cu6As5, a cell relaxed with GGA-PBE gives the computed powder XRD pattern in this record (λ = 1.5418 Å (Cu Kα)).

Atomic structure:
```
Li3Cu6As5
1.0
3.878 0.000 0.000
0.000 11.809 0.000
0.000 0.000 9.663
Li Cu As
6 12 10
direct
0.250 0.069 0.229
0.250 0.431 0.229
0.250 0.750 0.241
0.750 0.250 0.759
0.750 0.569 0.771
0.750 0.931 0.771
0.250 0.082 0.611
0.250 0.250 0.017
0.250 0.250 0.451
0.250 0.418 0.611
0.250 0.586 0.990
0.250 0.914 0.990
0.750 0.086 0.010
0.750 0.414 0.010
0.750 0.582 0.389
0.750 0.750 0.549
0.750 0.750 0.983
0.750 0.918 0.389
0.250 0.090 0.854
0.250 0.410 0.854
0.250 0.619 0.546
0.250 0.750 0.820
0.250 0.881 0.546
0.750 0.119 0.454
0.750 0.250 0.180
0.750 0.381 0.454
0.750 0.590 0.146
0.750 0.910 0.146
```

The 6 most intense peaks (2θ from 5° to 70°), by angle:
| 2θ/deg | d (Å) | I_rel |
| --- | --- | --- |
| 18.36 | 4.832 | 75 |
| 24.42 | 3.646 | 50 |
| 24.74 | 3.599 | 65 |
| 37.50 | 2.398 | 100 |
| 46.85 | 1.939 | 44 |
| 50.16 | 1.819 | 60 |

---

No. 12
For Na6H5Br, a cell relaxed with GGA-PBE gives the computed powder XRD pattern in this record (λ = 1.5418 Å (Cu Kα)).

Atomic structure:
```
Na6H5Br
1.0
3.130 -5.443 0.000
3.130 5.443 0.000
-2.055 0.000 5.841
Na H Br
6 5 1
direct
0.037 0.411 0.744
0.224 0.224 0.279
0.411 0.037 0.744
0.589 0.963 0.256
0.776 0.776 0.721
0.963 0.589 0.256
0.000 0.000 0.500
0.167 0.833 0.000
0.328 0.672 0.500
0.672 0.328 0.500
0.833 0.167 0.000
0.500 0.500 0.000
```

The 6 most intense peaks (2θ from 5° to 70°), by angle:
| 2θ/deg | d (Å) | I_rel |
| --- | --- | --- |
| 15.17 | 5.841 | 36 |
| 17.08 | 5.191 | 52 |
| 19.28 | 4.604 | 46 |
| 26.08 | 3.417 | 36 |
| 35.12 | 2.555 | 100 |
| 35.33 | 2.540 | 47 |